(1)
Starting from a cell relaxed with GGA-PBE, the X-ray powder pattern of AcNd6Ho4 was calculated for copper Kα.
Neutral-atom scattering factors, no anomalous dispersion.

Cell and atoms:
```
11
Lattice="-3.909 3.909 6.655 3.909 -3.909 6.655 3.909 3.909 -6.655" Properties=species:S:1:pos:R:3 pbc="T T T"
Ac 0.000 0.000 0.000
Nd 3.909 0.000 0.000
Nd 1.986 -1.986 4.101
Nd 1.922 1.922 2.554
Nd 0.000 3.909 0.000
Nd -1.986 1.986 4.101
Nd 1.986 1.986 9.208
Ho 2.660 2.660 -1.020
Ho 1.249 -1.249 7.675
Ho 1.249 1.249 5.635
Ho -1.249 1.249 7.675
```

Main lines, in order of rising 2θ (5 to 70 degrees two-theta):
| 2θ (°) | I/Imax |
| --- | --- |
| 26.41 | 100 |
| 31.38 | 68 |
| 32.39 | 44 |
| 32.61 | 35 |
| 35.11 | 40 |
| 54.26 | 34 |

---

(2)
Starting from a cell relaxed with GGA-PBE, the X-ray powder pattern of YAl2Pd was calculated for copper Kα.
Neutral-atom scattering factors, no anomalous dispersion.

Cell and atoms:
```
32
Lattice="15.952 0.000 0.000 0.000 6.920 0.000 0.000 0.000 5.570" Properties=species:S:1:pos:R:3 pbc="T T T"
Y 1.713 1.730 1.291
Y 2.299 5.190 2.635
Y 5.677 1.730 5.420
Y 6.263 5.190 4.077
Y 9.689 1.730 1.494
Y 10.275 5.190 0.150
Y 13.653 1.730 2.935
Y 14.239 5.190 4.279
Al 0.545 0.368 4.132
Al 0.545 3.092 4.132
Al 3.411 3.844 5.331
Al 3.411 6.536 5.331
Al 4.565 0.384 2.546
Al 4.565 3.076 2.546
Al 7.431 3.829 1.347
Al 7.431 6.552 1.347
Al 8.521 0.368 4.223
Al 8.521 3.092 4.223
Al 11.387 3.844 3.025
Al 11.387 6.536 3.025
Al 12.542 0.384 0.240
Al 12.542 3.076 0.240
Al 15.407 3.829 1.438
Al 15.407 6.552 1.438
Pd 1.151 5.190 5.524
Pd 2.802 1.730 3.986
Pd 5.174 5.190 1.200
Pd 6.825 1.730 2.739
Pd 9.128 5.190 2.831
Pd 10.778 1.730 4.370
Pd 13.151 5.190 1.585
Pd 14.801 1.730 0.046
```

Main lines, in order of rising 2θ (5 to 70 degrees two-theta):
| 2θ (°) | I/Imax |
| --- | --- |
| 25.75 | 62 |
| 34.31 | 37 |
| 34.89 | 47 |
| 36.56 | 100 |
| 39.76 | 20 |
| 52.79 | 25 |

---

(3)
Starting from a cell relaxed with GGA-PBE, the X-ray powder pattern of CaTiP2O7 was calculated for copper Kα.
Neutral-atom scattering factors, no anomalous dispersion.

Cell and atoms:
```
22
Lattice="5.980 0.000 0.000 2.641 6.100 0.000 0.589 0.585 7.474" Properties=species:S:1:pos:R:3 pbc="T T T"
Ca 2.285 2.159 2.435
Ca 6.925 4.526 5.039
Ti 3.906 6.045 6.436
Ti 5.303 0.640 1.038
P 3.910 5.019 3.113
P 3.428 2.659 6.524
P 5.781 4.025 0.950
P 5.299 1.665 4.361
O 2.677 4.211 3.488
O 0.971 0.180 2.269
O 2.916 4.113 6.516
O 2.368 1.662 6.091
O 4.840 5.360 4.277
O 3.522 1.684 0.378
O 4.631 3.994 2.087
O 4.578 2.691 5.387
O 5.687 5.000 7.096
O 4.370 1.324 3.197
O 6.841 5.022 1.383
O 6.293 2.571 0.958
O 8.238 6.505 5.205
O 6.532 2.473 3.986
```

Main lines, in order of rising 2θ (5 to 70 degrees two-theta):
| 2θ (°) | I/Imax |
| --- | --- |
| 27.39 | 58 |
| 28.34 | 64 |
| 28.68 | 56 |
| 29.46 | 100 |
| 32.66 | 26 |
| 44.42 | 22 |